1.
Theoretical PXRD pattern
Compound: MgMn2Zn2O6
Radiation: λ = 1.5418 Å (Cu Kα)
Structure: a GGA+U-relaxed structure
Neutral-atom scattering factors, no anomalous dispersion.

Top 6 peaks for 2θ = 5–70°, by angle:
two_theta  d [Å]  I (rel.)  h k l
34.32  2.613  100  1 2 1
35.38  2.537  34  1 1 -1
35.56  2.524  55  1 0 2
49.99  1.824  33  0 2 -1
50.17  1.818  20  2 0 -1
61.51  1.508  25  3 3 2

Structural model:
```
data_MgMn2Zn2O6
_symmetry_space_group_name_H-M 'P 1'
_symmetry_Int_Tables_number 1
_cell_length_a 5.219
_cell_length_b 5.227
_cell_length_c 5.889
_cell_angle_alpha 64.12
_cell_angle_beta 63.99
_cell_angle_gamma 60.08
loop_
_symmetry_equiv_pos_as_xyz
'x,y,z'
loop_
_atom_site_label
_atom_site_fract_x
_atom_site_fract_y
_atom_site_fract_z
_atom_site_occupancy
Mg1 0.000 0.000 0.000 1
Mn1 0.642 0.637 0.083 1
Mn2 0.816 0.814 0.556 1
Zn1 0.259 0.255 0.231 1
Zn2 0.450 0.445 0.653 1
O1 0.029 0.704 0.847 1
O2 0.246 0.594 0.309 1
O3 0.420 0.024 0.849 1
O4 0.603 0.856 0.303 1
O5 0.709 0.419 0.845 1
O6 0.857 0.240 0.306 1
```


2.
Theoretical PXRD pattern
Compound: MgNb4Ni2O12
Radiation: λ = 1.5418 Å (Cu Kα)
Structure: a GGA+U-relaxed structure
Neutral-atom scattering factors, no anomalous dispersion.

Top 6 peaks for 2θ = 5–70°, by angle:
two_theta  d [Å]  I (rel.)  h k l
25.49  3.495  100  1 0 1
34.41  2.606  66  1 3 0
39.08  2.305  15  1 3 1
50.91  1.794  46  1 3 2
50.98  1.791  15  2 3 1
52.36  1.747  23  2 0 2

Structural model:
```
data_MgNb4Ni2O12
_symmetry_space_group_name_H-M 'P 1 2 1'
_symmetry_Int_Tables_number 3
_cell_length_a 4.935
_cell_length_b 9.201
_cell_length_c 4.950
_cell_angle_alpha 90.00
_cell_angle_beta 90.09
_cell_angle_gamma 90.00
loop_
_symmetry_equiv_pos_as_xyz
'x,y,z'
'-x,y,-z'
loop_
_atom_site_label
_atom_site_fract_x
_atom_site_fract_y
_atom_site_fract_z
_atom_site_occupancy
Mg1 0.000 0.000 0.000 1
Nb1 0.000 0.579 0.500 1
Nb2 0.000 0.892 0.500 1
Nb3 0.500 0.119 0.000 1
Nb4 0.500 0.431 0.000 1
Ni1 0.000 0.254 0.500 1
Ni2 0.500 0.756 0.000 1
O1 0.199 0.750 0.287 1
O2 0.208 0.426 0.295 1
O3 0.211 0.080 0.286 1
O4 0.289 0.261 0.799 1
O5 0.290 0.930 0.786 1
O6 0.295 0.585 0.792 1
```


3.
Theoretical PXRD pattern
Compound: Li9Mn2Co5O16
Radiation: λ = 1.5418 Å (Cu Kα)
Structure: a GGA+U-relaxed structure
Neutral-atom scattering factors, no anomalous dispersion.

Top 6 peaks for 2θ = 5–70°, by angle:
two_theta  d [Å]  I (rel.)  h k l
18.28  4.854  100  0 0 4
35.49  2.529  15  -1 1 1
35.65  2.519  15  1 1 1
42.74  2.116  30  -1 1 5
43.04  2.101  29  1 1 5
44.60  2.032  26  0 2 -6

Structural model:
```
data_Li9Mn2Co5O16
_symmetry_space_group_name_H-M 'P -1'
_symmetry_Int_Tables_number 2
_cell_length_a 2.971
_cell_length_b 5.012
_cell_length_c 19.442
_cell_angle_alpha 92.99
_cell_angle_beta 90.34
_cell_angle_gamma 90.17
loop_
_symmetry_equiv_pos_as_xyz
'x,y,z'
'-x,-y,-z'
loop_
_atom_site_label
_atom_site_fract_x
_atom_site_fract_y
_atom_site_fract_z
_atom_site_occupancy
Li1 0.000 0.000 0.000 1
Li2 0.004 0.877 0.627 1
Li3 0.005 0.371 0.121 1
Li4 0.492 0.375 0.629 1
Li5 0.497 0.886 0.118 1
Mn1 0.000 0.500 0.500 1
Mn2 0.500 0.500 0.000 1
Co1 0.002 0.750 0.249 1
Co2 0.498 0.750 0.750 1
Co3 0.500 0.000 0.500 1
O1 0.001 0.666 0.055 1
O2 0.001 0.946 0.807 1
O3 0.004 0.447 0.309 1
O4 0.049 0.186 0.556 1
O5 0.462 0.691 0.556 1
O6 0.499 0.209 0.059 1
O7 0.499 0.444 0.806 1
O8 0.500 0.053 0.691 1
```


4.
Theoretical PXRD pattern
Compound: Li2Co4O3F8
Radiation: λ = 1.5418 Å (Cu Kα)
Structure: a GGA+U-relaxed structure
Neutral-atom scattering factors, no anomalous dispersion.

Top 6 peaks for 2θ = 5–70°, by angle:
two_theta  d [Å]  I (rel.)  h k l
14.65  6.049  100  0 1 0
21.06  4.218  47  1 -1 0
24.04  3.701  79  0 1 1
25.70  3.467  50  1 -1 1
39.16  2.301  75  1 0 2
41.76  2.163  61  0 3 -1

Structural model:
```
data_Li2Co4O3F8
_symmetry_space_group_name_H-M 'P -1'
_symmetry_Int_Tables_number 2
_cell_length_a 5.054
_cell_length_b 6.539
_cell_length_c 6.841
_cell_angle_alpha 108.76
_cell_angle_beta 104.14
_cell_angle_gamma 96.74
loop_
_symmetry_equiv_pos_as_xyz
'x,y,z'
'-x,-y,-z'
loop_
_atom_site_label
_atom_site_fract_x
_atom_site_fract_y
_atom_site_fract_z
_atom_site_occupancy
Li1 0.184 0.405 0.178 1
Co1 0.248 0.969 0.402 1
Co2 0.377 0.772 0.846 1
O1 0.000 0.000 0.500 1
O2 0.464 0.044 0.762 1
F1 0.110 0.807 0.993 1
F2 0.199 0.667 0.446 1
F3 0.293 0.499 0.879 1
F4 0.350 0.249 0.305 1
```


5.
Theoretical PXRD pattern
Compound: Li2VCrP2H2O10
Radiation: λ = 1.5418 Å (Cu Kα)
Structure: a GGA+U-relaxed structure
Neutral-atom scattering factors, no anomalous dispersion.

Top 6 peaks for 2θ = 5–70°, by angle:
two_theta  d [Å]  I (rel.)  h k l
18.52  4.790  38  0 1 2
18.74  4.736  45  0 0 3
26.66  3.344  100  0 2 1
26.87  3.318  99  1 -2 1
28.95  3.084  85  1 0 -4
36.00  2.495  36  2 0 1

Structural model:
```
data_Li2VCrP2H2O10
_symmetry_space_group_name_H-M 'P -1'
_symmetry_Int_Tables_number 2
_cell_length_a 5.413
_cell_length_b 7.363
_cell_length_c 14.316
_cell_angle_alpha 93.55
_cell_angle_beta 94.84
_cell_angle_gamma 106.32
loop_
_symmetry_equiv_pos_as_xyz
'x,y,z'
'-x,-y,-z'
loop_
_atom_site_label
_atom_site_fract_x
_atom_site_fract_y
_atom_site_fract_z
_atom_site_occupancy
Li1 0.018 0.093 0.416 1
Li2 0.315 0.240 0.918 1
Li3 0.351 0.426 0.749 1
V1 0.167 0.667 0.167 1
V2 0.500 0.500 0.500 1
Cr1 0.166 0.167 0.167 1
Cr2 0.500 0.000 0.500 1
P1 0.032 0.661 0.393 1
P2 0.303 0.675 0.940 1
P3 0.365 0.992 0.726 1
H1 0.105 0.887 0.046 1
H2 0.228 0.446 0.287 1
H3 0.438 0.217 0.380 1
O1 0.036 0.718 0.290 1
O2 0.066 0.890 0.113 1
O3 0.075 0.890 0.731 1
O4 0.123 0.843 0.463 1
O5 0.128 0.806 0.924 1
O6 0.203 0.527 0.408 1
O7 0.211 0.491 0.870 1
O8 0.257 0.444 0.601 1
O9 0.267 0.443 0.220 1
O10 0.298 0.617 0.042 1
O11 0.372 0.051 0.623 1
O12 0.397 0.220 0.446 1
O13 0.407 0.223 0.065 1
O14 0.455 0.176 0.796 1
O15 0.461 0.139 0.258 1
```